[1]
Diffraction record for HoSbPd. The powder diffractogram is computed, not measured: it uses a crystal structure in the Materials Project, relaxed with PBE and CuKα.
Lines closer than 0.1° are merged.

Atomic structure:
Cell: 6.731 6.731 6.731 Å, 90.00 90.00 90.00°
Sites, in units of the cell vectors:
Ho1 0.000 0.000 0.000
Ho2 0.000 0.500 0.500
Ho3 0.500 0.000 0.500
Ho4 0.500 0.500 0.000
Sb1 0.250 0.250 0.750
Sb2 0.250 0.750 0.250
Sb3 0.750 0.250 0.250
Sb4 0.750 0.750 0.750
Pd1 0.000 0.000 0.500
Pd2 0.000 0.500 0.000
Pd3 0.500 0.000 0.000
Pd4 0.500 0.500 0.500

Peak list (9 most intense, 5 to 70 degrees two-theta, in order of rising 2θ)
2theta	I_rel
22.89	28
26.49	19
37.81	100
44.65	14
46.75	5
54.54	17
59.90	6
61.62	7
68.27	35

***

[2]
Diffraction record for Rb2TlAgI6. The powder diffractogram is computed, not measured: it uses a crystal structure in the Materials Project, relaxed with PBE and CuKα.
Lines closer than 0.1° are merged.

Atomic structure:
Cell: 8.540 8.540 8.540 Å, 60.00 60.00 60.00°
Sites, in units of the cell vectors:
Rb1 0.250 0.250 0.250
Rb2 0.750 0.750 0.750
Tl1 0.000 0.000 0.000
Ag1 0.500 0.500 0.500
I1 0.256 0.256 0.744
I2 0.256 0.744 0.256
I3 0.256 0.744 0.744
I4 0.744 0.256 0.256
I5 0.744 0.256 0.744
I6 0.744 0.744 0.256

Peak list (10 most intense, 5 to 70 degrees two-theta, in order of rising 2θ)
2theta	I_rel
14.67	53
20.80	17
25.55	48
29.59	100
33.17	29
42.34	74
45.04	15
50.10	22
52.50	26
69.63	33

***

[3]
Diffraction record for CeReB4. The powder diffractogram is computed, not measured: it uses a crystal structure in the Materials Project, relaxed with PBE and CuKα.
Lines closer than 0.1° are merged.

Atomic structure:
Cell: 6.013 11.654 3.679 Å, 90.00 90.00 90.00°
Sites, in units of the cell vectors:
Ce1 0.127 0.150 0.000
Ce2 0.373 0.650 0.000
Ce3 0.627 0.350 0.000
Ce4 0.873 0.850 0.000
Re1 0.136 0.409 0.000
Re2 0.364 0.909 0.000
Re3 0.636 0.091 0.000
Re4 0.864 0.591 0.000
B1 0.025 0.691 0.500
B2 0.112 0.546 0.500
B3 0.138 0.969 0.500
B4 0.214 0.815 0.500
B5 0.286 0.315 0.500
B6 0.362 0.469 0.500
B7 0.388 0.046 0.500
B8 0.475 0.191 0.500
B9 0.525 0.809 0.500
B10 0.612 0.954 0.500
B11 0.638 0.531 0.500
B12 0.714 0.685 0.500
B13 0.786 0.185 0.500
B14 0.862 0.031 0.500
B15 0.888 0.454 0.500
B16 0.975 0.309 0.500

Peak list (10 most intense, 5 to 70 degrees two-theta, in order of rising 2θ)
2theta	I_rel
24.19	94
30.70	83
34.20	23
37.84	33
39.46	100
42.33	31
45.42	46
49.54	24
59.43	26
63.98	17

***

[4]
Diffraction record for FeS2. The powder diffractogram is computed, not measured: it uses a crystal structure in the Materials Project, relaxed with PBE and CuKα.
Lines closer than 0.1° are merged.

Atomic structure:
Cell: 6.574 6.574 6.574 Å, 60.00 60.00 60.00°
Sites, in units of the cell vectors:
Fe1 0.000 0.000 0.000
Fe2 0.000 0.000 0.500
Fe3 0.000 0.500 0.000
Fe4 0.500 0.000 0.000
S1 0.236 0.755 0.755
S2 0.245 0.245 0.245
S3 0.245 0.245 0.764
S4 0.245 0.764 0.245
S5 0.755 0.236 0.755
S6 0.755 0.755 0.236
S7 0.755 0.755 0.755
S8 0.764 0.245 0.245

Peak list (9 most intense, 5 to 70 degrees two-theta, in order of rising 2θ)
2theta	I_rel
16.52	85
31.93	37
33.39	1
38.74	100
42.38	12
51.05	16
55.95	61
58.76	15
65.88	4

***

[5]
Diffraction record for Nb4C3. The powder diffractogram is computed, not measured: it uses a crystal structure in the Materials Project, relaxed with PBE and CuKα.
Lines closer than 0.1° are merged.

Atomic structure:
Cell: 10.445 10.445 10.445 Å, 17.39 17.39 17.39°
Sites, in units of the cell vectors:
Nb1 0.123 0.123 0.123
Nb2 0.376 0.376 0.376
Nb3 0.624 0.624 0.624
Nb4 0.877 0.877 0.877
C1 0.253 0.253 0.253
C2 0.500 0.500 0.500
C3 0.747 0.747 0.747

Peak list (7 most intense, 5 to 70 degrees two-theta, in order of rising 2θ)
2theta	I_rel
17.24	1
34.83	100
40.43	68
53.41	1
58.46	22
58.57	21
69.90	29

***

[6]
Diffraction record for Hf8MgN8O4. The powder diffractogram is computed, not measured: it uses a crystal structure in the Materials Project, relaxed with PBE and CuKα.
Lines closer than 0.1° are merged.

Atomic structure:
Cell: 5.404 5.472 10.666 Å, 89.21 75.57 60.64°
Sites, in units of the cell vectors:
Hf1 0.000 0.000 0.000
Hf2 0.009 0.496 0.528
Hf3 0.177 0.436 0.216
Hf4 0.194 0.908 0.715
Hf5 0.456 0.784 0.292
Hf6 0.469 0.298 0.794
Hf7 0.670 0.157 0.509
Hf8 0.704 0.630 0.977
Mg1 0.799 0.104 0.254
N1 0.050 0.781 0.369
N2 0.081 0.274 0.874
N3 0.275 0.509 0.634
N4 0.382 0.167 0.377
N5 0.389 0.671 0.878
N6 0.579 0.405 0.128
N7 0.850 0.752 0.135
N8 0.882 0.221 0.633
O1 0.217 0.044 0.146
O2 0.594 0.879 0.625
O3 0.753 0.446 0.372
O4 0.779 0.951 0.873

Peak list (10 most intense, 5 to 70 degrees two-theta, in order of rising 2θ)
2theta	I_rel
22.29	60
29.77	81
29.93	83
30.25	70
32.63	100
32.75	100
33.16	99
35.04	46
45.49	52
49.18	46

***

Q: Which formula does entry 6 have?
A: Hf8MgN8O4